Record 1
Starting from a PBE-relaxed structure, the X-ray diffraction stick pattern of Ta2GaRe2Se8 was calculated for Cu Ka.
Kinematic intensities with the Lorentz-polarization factor, no thermal factor.

Main lines, low angle first (10° ≤ 2θ ≤ 90°):
- 2θ 12.03, I 100
- 2θ 29.71, I 15
- 2θ 30.34, I 22
- 2θ 32.16, I 36
- 2θ 38.67, I 68
- 2θ 43.00, I 14
- 2θ 47.86, I 18
- 2θ 52.73, I 27
- 2θ 54.29, I 14
- 2θ 67.27, I 13

Structural model:
abc: 3.472 3.472 29.435
angles: 90.00 90.00 120.00
Fractional coordinates of all 13 atoms:
Ta 0.000 0.000 0.000
Ta 0.000 0.000 0.491
Ga 0.000 0.000 0.617
Re 0.000 0.000 0.250
Re 0.000 0.000 0.760
Se 0.333 0.667 0.057
Se 0.333 0.667 0.434
Se 0.333 0.667 0.550
Se 0.333 0.667 0.943
Se 0.667 0.333 0.197
Se 0.667 0.333 0.303
Se 0.667 0.333 0.708
Se 0.667 0.333 0.813

Record 2
Starting from a PBE-relaxed structure, the X-ray diffraction stick pattern of CeSiNi4 was calculated for Cu Ka.
Kinematic intensities with the Lorentz-polarization factor, no thermal factor.

Main lines, low angle first (10° ≤ 2θ ≤ 90°):
- 2θ 30.50, I 30
- 2θ 31.27, I 50
- 2θ 37.58, I 52
- 2θ 42.12, I 38
- 2θ 42.32, I 88
- 2θ 44.06, I 100
- 2θ 45.20, I 48
- 2θ 60.19, I 25
- 2θ 63.49, I 22
- 2θ 69.82, I 24

Structural model:
abc: 5.045 8.156 4.012
angles: 90.00 90.00 90.00
Fractional coordinates of all 12 atoms:
Ce 0.000 0.000 0.000
Ce 0.500 0.500 0.000
Si 0.000 0.500 0.500
Si 0.500 0.000 0.500
Ni 0.000 0.339 0.000
Ni 0.000 0.661 0.000
Ni 0.250 0.250 0.500
Ni 0.250 0.750 0.500
Ni 0.500 0.161 0.000
Ni 0.500 0.839 0.000
Ni 0.750 0.250 0.500
Ni 0.750 0.750 0.500

Record 3
Starting from a PBE-relaxed structure, the X-ray diffraction stick pattern of NdInCu4 was calculated for Cu Ka.
Kinematic intensities with the Lorentz-polarization factor, no thermal factor.

Main lines, low angle first (10° ≤ 2θ ≤ 90°):
- 2θ 20.92, I 4
- 2θ 34.49, I 52
- 2θ 40.69, I 100
- 2θ 42.58, I 21
- 2θ 61.80, I 19
- 2θ 66.01, I 30
- 2θ 72.74, I 23
- 2θ 83.05, I 8
- 2θ 86.85, I 11
- 2θ 88.11, I 7

Structural model:
abc: 5.200 5.200 5.200
angles: 60.00 60.00 60.00
Fractional coordinates of all 6 atoms:
Nd 0.000 0.000 0.000
In 0.250 0.250 0.250
Cu 0.127 0.624 0.624
Cu 0.624 0.127 0.624
Cu 0.624 0.624 0.127
Cu 0.624 0.624 0.624

Record 4
Starting from a PBE-relaxed structure, the X-ray diffraction stick pattern of Ba2LaIrO6 was calculated for Cu Ka.
Kinematic intensities with the Lorentz-polarization factor, no thermal factor.

Main lines, low angle first (10° ≤ 2θ ≤ 90°):
- 2θ 29.15, I 100
- 2θ 29.25, I 99
- 2θ 41.77, I 56
- 2θ 51.63, I 21
- 2θ 51.81, I 48
- 2θ 60.45, I 18
- 2θ 60.65, I 18
- 2θ 68.55, I 18
- 2θ 68.69, I 18
- 2θ 83.70, I 15

Structural model:
abc: 6.131 6.103 10.586
angles: 90.00 125.20 90.00
Fractional coordinates of all 20 atoms:
Ba 0.247 0.003 0.248
Ba 0.247 0.497 0.748
Ba 0.753 0.503 0.252
Ba 0.753 0.997 0.752
La 0.500 0.000 0.000
La 0.500 0.500 0.500
Ir 0.000 0.000 0.500
Ir 0.000 0.500 0.000
O 0.208 0.002 0.729
O 0.208 0.498 0.229
O 0.226 0.743 0.010
O 0.226 0.757 0.510
O 0.251 0.217 0.509
O 0.251 0.283 0.009
O 0.749 0.717 0.991
O 0.749 0.783 0.491
O 0.774 0.243 0.490
O 0.774 0.257 0.990
O 0.792 0.502 0.771
O 0.792 0.998 0.271

Record 5
Starting from a PBE-relaxed structure, the X-ray diffraction stick pattern of NdAlSn was calculated for Cu Ka.
Kinematic intensities with the Lorentz-polarization factor, no thermal factor.

Main lines, low angle first (10° ≤ 2θ ≤ 90°):
- 2θ 22.34, I 24
- 2θ 31.02, I 100
- 2θ 39.20, I 42
- 2θ 43.27, I 11
- 2θ 50.81, I 25
- 2θ 59.80, I 25
- 2θ 66.00, I 23
- 2θ 71.05, I 7
- 2θ 71.75, I 9
- 2θ 86.97, I 9

Structural model:
abc: 4.596 4.596 4.182
angles: 90.00 90.00 120.00
Fractional coordinates of all 3 atoms:
Nd 0.000 0.000 0.000
Al 0.667 0.333 0.500
Sn 0.333 0.667 0.500

Record 6
Starting from a PBE-relaxed structure, the X-ray diffraction stick pattern of Mg3B2Rh5 was calculated for Cu Ka.
Kinematic intensities with the Lorentz-polarization factor, no thermal factor.

Main lines, low angle first (10° ≤ 2θ ≤ 90°):
- 2θ 20.84, I 59
- 2θ 29.64, I 43
- 2θ 30.24, I 98
- 2θ 33.91, I 57
- 2θ 37.01, I 57
- 2θ 38.96, I 99
- 2θ 42.42, I 63
- 2θ 42.85, I 100
- 2θ 46.07, I 68
- 2θ 50.10, I 48

Structural model:
abc: 9.530 9.530 2.956
angles: 90.00 90.00 90.00
Fractional coordinates of all 20 atoms:
Mg 0.000 0.000 0.000
Mg 0.177 0.323 0.000
Mg 0.323 0.823 0.000
Mg 0.500 0.500 0.000
Mg 0.677 0.177 0.000
Mg 0.823 0.677 0.000
B 0.126 0.626 0.000
B 0.374 0.126 0.000
B 0.626 0.874 0.000
B 0.874 0.374 0.000
Rh 0.000 0.500 0.500
Rh 0.071 0.779 0.500
Rh 0.221 0.071 0.500
Rh 0.279 0.571 0.500
Rh 0.429 0.279 0.500
Rh 0.500 0.000 0.500
Rh 0.571 0.721 0.500
Rh 0.721 0.429 0.500
Rh 0.779 0.929 0.500
Rh 0.929 0.221 0.500

Record 7
Starting from a PBE-relaxed structure, the X-ray diffraction stick pattern of NdCu4Ag was calculated for Cu Ka.
Kinematic intensities with the Lorentz-polarization factor, no thermal factor.

Main lines, low angle first (10° ≤ 2θ ≤ 90°):
- 2θ 21.21, I 4
- 2θ 34.99, I 51
- 2θ 41.28, I 100
- 2θ 43.20, I 22
- 2θ 62.75, I 18
- 2θ 67.04, I 30
- 2θ 73.91, I 23
- 2θ 84.47, I 8
- 2θ 88.36, I 10
- 2θ 89.65, I 7

Structural model:
abc: 5.129 5.129 5.129
angles: 60.00 60.00 60.00
Fractional coordinates of all 6 atoms:
Nd 0.000 0.000 0.000
Cu 0.377 0.377 0.377
Cu 0.377 0.377 0.869
Cu 0.377 0.869 0.377
Cu 0.869 0.377 0.377
Ag 0.750 0.750 0.750

Which formula does entry 1 have? Ta2GaRe2Se8

Repeat the sixth record exactly.
Starting from a PBE-relaxed structure, the X-ray diffraction stick pattern of Mg3B2Rh5 was calculated for Cu Ka.
Kinematic intensities with the Lorentz-polarization factor, no thermal factor.

Main lines, low angle first (10° ≤ 2θ ≤ 90°):
- 2θ 20.84, I 59
- 2θ 29.64, I 43
- 2θ 30.24, I 98
- 2θ 33.91, I 57
- 2θ 37.01, I 57
- 2θ 38.96, I 99
- 2θ 42.42, I 63
- 2θ 42.85, I 100
- 2θ 46.07, I 68
- 2θ 50.10, I 48

Structural model:
abc: 9.530 9.530 2.956
angles: 90.00 90.00 90.00
Fractional coordinates of all 20 atoms:
Mg 0.000 0.000 0.000
Mg 0.177 0.323 0.000
Mg 0.323 0.823 0.000
Mg 0.500 0.500 0.000
Mg 0.677 0.177 0.000
Mg 0.823 0.677 0.000
B 0.126 0.626 0.000
B 0.374 0.126 0.000
B 0.626 0.874 0.000
B 0.874 0.374 0.000
Rh 0.000 0.500 0.500
Rh 0.071 0.779 0.500
Rh 0.221 0.071 0.500
Rh 0.279 0.571 0.500
Rh 0.429 0.279 0.500
Rh 0.500 0.000 0.500
Rh 0.571 0.721 0.500
Rh 0.721 0.429 0.500
Rh 0.779 0.929 0.500
Rh 0.929 0.221 0.500